# 1
Simulated XRD peak list
Compound: Dy7ErCd4
Radiation: λ = 1.5418 Å (Cu Kα)
Structure: a DFT-relaxed cell (GGA-PBE, Alexandria)
Intensities are scaled so that the largest is 100.

Largest 12 diffraction maxima, low angle first, 10 to 90 degrees two-theta:
(hkl), d_spacing, 2θ (°), I (rel.)
4 0 0, 3.113, 28.67, 25
4 0 -3, 2.986, 29.92, 49
1 1 2, 2.927, 30.55, 53
0 2 0, 2.847, 31.42, 100
2 0 2, 2.819, 31.74, 32
3 1 -3, 2.787, 32.11, 45
0 0 3, 2.747, 32.59, 19
1 1 -3, 2.683, 33.39, 22
5 1 -1, 2.538, 35.37, 76
4 2 -3, 2.061, 43.94, 34
2 2 2, 2.003, 45.27, 24
1 1 -5, 1.681, 54.59, 20

Crystal structure
```
data_Dy7ErCd4
_chemical_formula_sum 'Dy14 Er2 Cd8'
_cell_length_a 14.6677
_cell_length_b 5.6948
_cell_length_c 9.7072
_cell_angle_alpha 90.00
_cell_angle_beta 121.89
_cell_angle_gamma 90.00
_space_group_name_H-M_alt 'C 1 2/m 1'
_space_group_IT_number 12
loop_
_space_group_symop_operation_xyz
'x,y,z'
'-x,-y,-z'
'-x,y,-z'
'x,-y,z'
'x+1/2,y+1/2,z'
'-x+1/2,-y+1/2,-z'
'-x+1/2,y+1/2,-z'
'x+1/2,-y+1/2,z'
loop_
_atom_site_label
_atom_site_type_symbol
_atom_site_fract_x
_atom_site_fract_y
_atom_site_fract_z
Dy1 Dy 0.0000 0.0000 0.0000
Dy2 Dy 0.0714 0.5000 0.4124
Dy3 Dy 0.2053 0.5000 0.8810
Dy4 Dy 0.2391 0.0000 0.6952
Er1 Er 0.0000 0.5000 0.0000
Cd1 Cd 0.0419 0.0000 0.7112
Cd2 Cd 0.1812 0.0000 0.3415
```

---

# 2
Simulated XRD peak list
Compound: Dy2Er8Cd
Radiation: λ = 1.5418 Å (Cu Kα)
Structure: a DFT-relaxed cell (GGA-PBE, Alexandria)
Intensities are scaled so that the largest is 100.

Largest 12 diffraction maxima, low angle first, 10 to 90 degrees two-theta:
(hkl), d_spacing, 2θ (°), I (rel.)
6 0 -1, 2.948, 30.32, 38
5 1 -1, 2.893, 30.91, 28
0 2 0, 2.746, 32.61, 60
1 1 -2, 2.737, 32.72, 89
5 1 1, 2.727, 32.84, 100
7 1 -1, 2.341, 38.45, 12
6 2 -1, 2.010, 45.12, 26
4 0 3, 1.862, 48.91, 17
5 3 1, 1.583, 58.30, 37
4 2 3, 1.541, 60.02, 18
11 1 -2, 1.520, 60.96, 18
11 3 -2, 1.197, 80.21, 11

Crystal structure
```
data_Dy2Er8Cd
_chemical_formula_sum 'Dy4 Er16 Cd2'
_cell_length_a 19.1586
_cell_length_b 5.4928
_cell_length_c 6.3303
_cell_angle_alpha 90.00
_cell_angle_beta 95.17
_cell_angle_gamma 90.00
_space_group_name_H-M_alt 'C 1 2/m 1'
_space_group_IT_number 12
loop_
_space_group_symop_operation_xyz
'x,y,z'
'-x,-y,-z'
'-x,y,-z'
'x,-y,z'
'x+1/2,y+1/2,z'
'-x+1/2,-y+1/2,-z'
'-x+1/2,y+1/2,-z'
'x+1/2,-y+1/2,z'
loop_
_atom_site_label
_atom_site_type_symbol
_atom_site_fract_x
_atom_site_fract_y
_atom_site_fract_z
Dy1 Dy 0.2432 0.0000 0.3328
Er1 Er 0.0450 0.0000 0.2647
Er2 Er 0.0784 0.5000 0.5985
Er3 Er 0.1539 0.0000 0.8041
Er4 Er 0.1602 0.5000 0.1242
Cd1 Cd 0.0000 0.5000 0.0000
```

---

# 3
Simulated XRD peak list
Compound: Dy8Er2Cd
Radiation: λ = 1.5418 Å (Cu Kα)
Structure: a DFT-relaxed cell (GGA-PBE, Alexandria)
Intensities are scaled so that the largest is 100.

Largest 12 diffraction maxima, low angle first, 10 to 90 degrees two-theta:
(hkl), d_spacing, 2θ (°), I (rel.)
1 1 2, 2.855, 31.33, 100
-1 2 2, 2.475, 36.29, 34
2 1 -1, 2.467, 36.42, 17
2 -3 1, 1.753, 52.18, 6
1 3 1, 1.748, 52.34, 18
1 2 -4, 1.746, 52.39, 12
-1 4 1, 1.493, 62.17, 18
0 3 4, 1.490, 62.32, 21
4 -2 0, 1.429, 65.30, 6
2 4 3, 1.135, 85.61, 9
-1 1 8, 1.133, 85.72, 4
0 5 3, 1.107, 88.32, 4

Crystal structure
```
data_Dy8Er2Cd
_chemical_formula_sum 'Dy8 Er2 Cd1'
_cell_length_a 6.0523
_cell_length_b 6.0662
_cell_length_c 9.2449
_cell_angle_alpha 90.05
_cell_angle_beta 96.08
_cell_angle_gamma 99.78
_space_group_name_H-M_alt 'P -1'
_space_group_IT_number 2
loop_
_space_group_symop_operation_xyz
'x,y,z'
'-x,-y,-z'
loop_
_atom_site_label
_atom_site_type_symbol
_atom_site_fract_x
_atom_site_fract_y
_atom_site_fract_z
Dy1 Dy 0.0482 0.0935 0.1787
Dy2 Dy 0.1342 0.2747 0.5439
Dy3 Dy 0.2310 0.4586 0.9100
Dy4 Dy 0.4105 0.8189 0.6383
Er1 Er 0.3122 0.6383 0.2698
Cd1 Cd 0.5000 0.0000 0.0000
```

---

# 4
Simulated XRD peak list
Compound: DyEr3Cd3
Radiation: λ = 1.5418 Å (Cu Kα)
Structure: a DFT-relaxed cell (GGA-PBE, Alexandria)
Intensities are scaled so that the largest is 100.

Largest 12 diffraction maxima, low angle first, 10 to 90 degrees two-theta:
(hkl), d_spacing, 2θ (°), I (rel.)
2 2 0, 3.751, 23.72, 10
0 4 0, 2.664, 33.64, 27
4 0 0, 2.641, 33.94, 25
2 2 2, 2.540, 35.34, 100
4 4 0, 1.876, 48.54, 15
0 0 4, 1.726, 53.07, 9
2 6 2, 1.513, 61.27, 14
6 2 2, 1.505, 61.65, 13
0 4 4, 1.448, 64.32, 8
4 0 4, 1.445, 64.51, 8
4 4 4, 1.270, 74.76, 9
2 2 6, 1.100, 88.99, 9

Crystal structure
```
data_DyEr3Cd3
_chemical_formula_sum 'Dy4 Er12 Cd12'
_cell_length_a 10.5640
_cell_length_b 10.6556
_cell_length_c 6.9023
_cell_angle_alpha 90.00
_cell_angle_beta 90.00
_cell_angle_gamma 90.00
_space_group_name_H-M_alt 'C m m m'
_space_group_IT_number 65
_space_group_name_Hall '-C 2 2'
loop_
_atom_site_label
_atom_site_type_symbol
_atom_site_fract_x
_atom_site_fract_y
_atom_site_fract_z
Dy1 Dy 0.2426 0.0000 0.0000
Er1 Er 0.0000 0.2363 0.5000
Er2 Er 0.0000 0.2883 0.0000
Er3 Er 0.2048 0.5000 0.5000
Cd1 Cd 0.0000 0.0000 0.2470
Cd2 Cd 0.2500 0.2500 0.2512
```